Structure and calculated powder diffractogram of Cd5Te4 (a crystal structure in Alexandria, relaxed with PBE; Cu Kα (λ = 1.5418 Å)).

Cell and atoms:
abc: 8.6309 8.6309 8.2180
angles: 90.00 90.00 120.00
Space group P6_3/mcm (No. 193)
Asymmetric unit:
Cd 0.0000 0.2504 0.2500
Cd 0.3333 0.6667 0.0000
Te 0.0000 0.0000 0.0000
Te 0.0000 0.4237 0.7500

Largest 8 diffraction maxima, by intensity, 2θ from 15° to 90°:
- d = 2.976 Å, 2θ = 30.0°, rel. 100.0, hkl 1 1 2
- d = 2.672 Å, 2θ = 33.5°, rel. 61.2, hkl 2 1 1
- d = 2.492 Å, 2θ = 36.0°, rel. 25.2, hkl 3 0 0
- d = 1.967 Å, 2θ = 46.2°, rel. 24.6, hkl 2 1 3
- d = 2.055 Å, 2θ = 44.1°, rel. 17.2, hkl 0 0 4
- d = 2.010 Å, 2θ = 45.1°, rel. 15.0, hkl 3 1 1
- d = 4.109 Å, 2θ = 21.6°, rel. 13.1, hkl 0 0 2
- d = 1.585 Å, 2θ = 58.2°, rel. 12.1, hkl 3 0 4